Computed X-ray diffraction stick pattern
Compound: Ce3Dy
Radiation: a wavelength of 1.5418 Å
Structure: DFT lattice parameters and positions (GGA-PBE)
Lines closer than 0.1° are merged.

Crystal structure
```
data_Ce3Dy
_chemical_formula_sum 'Ce3 Dy1'
_cell_length_a 4.863
_cell_length_b 4.863
_cell_length_c 4.863
_cell_angle_alpha 90.00
_cell_angle_beta 90.00
_cell_angle_gamma 90.00
_symmetry_space_group_name_H-M 'P 1'
_symmetry_Int_Tables_number 1
loop_
_symmetry_equiv_pos_as_xyz
'x,y,z'
loop_
_atom_site_label
_atom_site_type_symbol
_atom_site_fract_x
_atom_site_fract_y
_atom_site_fract_z
Ce1 Ce 0.000 0.000 0.500
Ce2 Ce 0.000 0.500 0.000
Ce3 Ce 0.500 0.000 0.000
Dy1 Dy 0.500 0.500 0.500
```

The 7 most intense peaks (2θ = 15–90°), sorted by position:
Position (°2θ), I_rel
31.9, 100.0
37.0, 50.3
53.3, 35.2
63.4, 41.4
66.6, 11.9
78.7, 5.6
87.4, 17.6

---

Computed X-ray diffraction stick pattern
Compound: Ce3Dy
Radiation: a wavelength of 1.5418 Å
Structure: DFT lattice parameters and positions (GGA-PBE)
Lines closer than 0.1° are merged.

Crystal structure
```
data_Ce3Dy
_chemical_formula_sum 'Ce3 Dy1'
_cell_length_a 5.988
_cell_length_b 5.988
_cell_length_c 5.988
_cell_angle_alpha 132.18
_cell_angle_beta 132.18
_cell_angle_gamma 69.95
_symmetry_space_group_name_H-M 'P 1'
_symmetry_Int_Tables_number 1
loop_
_symmetry_equiv_pos_as_xyz
'x,y,z'
loop_
_atom_site_label
_atom_site_type_symbol
_atom_site_fract_x
_atom_site_fract_y
_atom_site_fract_z
Ce1 Ce 0.000 0.000 0.000
Ce2 Ce 0.250 0.750 0.500
Ce3 Ce 0.750 0.250 0.500
Dy1 Dy 0.500 0.500 0.000
```

The 10 most intense peaks (2θ = 15–90°), sorted by position:
Position (°2θ), I_rel
31.8, 100.0
36.6, 17.1
37.0, 33.2
53.1, 23.6
53.4, 11.6
62.9, 14.1
63.5, 27.4
66.5, 11.9
87.1, 11.8
87.6, 5.8

---

Computed X-ray diffraction stick pattern
Compound: Ce5Dy2O13
Radiation: a wavelength of 1.5418 Å
Structure: DFT lattice parameters and positions (GGA-PBE)
Lines closer than 0.1° are merged.

Crystal structure
```
data_Ce5Dy2O13
_chemical_formula_sum 'Ce5 Dy2 O13'
_cell_length_a 22.390
_cell_length_b 22.390
_cell_length_c 22.390
_cell_angle_alpha 9.80
_cell_angle_beta 9.80
_cell_angle_gamma 9.80
_symmetry_space_group_name_H-M 'P 1'
_symmetry_Int_Tables_number 1
loop_
_symmetry_equiv_pos_as_xyz
'x,y,z'
loop_
_atom_site_label
_atom_site_type_symbol
_atom_site_fract_x
_atom_site_fract_y
_atom_site_fract_z
Ce1 Ce 0.000 0.000 0.000
Ce2 Ce 0.143 0.143 0.143
Ce3 Ce 0.286 0.286 0.286
Ce4 Ce 0.429 0.429 0.429
Ce5 Ce 0.714 0.714 0.714
Dy1 Dy 0.574 0.574 0.574
Dy2 Dy 0.857 0.857 0.857
O1 O 0.037 0.037 0.037
O2 O 0.108 0.108 0.108
O3 O 0.184 0.184 0.184
O4 O 0.251 0.251 0.251
O5 O 0.322 0.322 0.322
O6 O 0.394 0.394 0.394
O7 O 0.465 0.465 0.465
O8 O 0.608 0.608 0.608
O9 O 0.679 0.679 0.679
O10 O 0.751 0.751 0.751
O11 O 0.822 0.822 0.822
O12 O 0.889 0.889 0.889
O13 O 0.965 0.965 0.965
```

The 10 most intense peaks (2θ = 15–90°), sorted by position:
Position (°2θ), I_rel
28.0, 34.3
28.5, 100.0
32.9, 42.1
46.9, 34.8
47.5, 34.9
55.5, 14.8
56.1, 29.6
56.4, 14.8
76.8, 11.9
88.1, 10.8

---

Computed X-ray diffraction stick pattern
Compound: Ce4DyO9
Radiation: a wavelength of 1.5418 Å
Structure: DFT lattice parameters and positions (GGA-PBE)
Lines closer than 0.1° are merged.

Crystal structure
```
data_Ce4DyO9
_chemical_formula_sum 'Ce4 Dy1 O9'
_cell_length_a 10.311
_cell_length_b 10.311
_cell_length_c 10.311
_cell_angle_alpha 158.61
_cell_angle_beta 38.06
_cell_angle_gamma 148.89
_symmetry_space_group_name_H-M 'P 1'
_symmetry_Int_Tables_number 1
loop_
_symmetry_equiv_pos_as_xyz
'x,y,z'
loop_
_atom_site_label
_atom_site_type_symbol
_atom_site_fract_x
_atom_site_fract_y
_atom_site_fract_z
Ce1 Ce 0.106 0.000 0.106
Ce2 Ce 0.294 0.993 0.301
Ce3 Ce 0.691 0.993 0.699
Ce4 Ce 0.894 0.000 0.894
Dy1 Dy 0.440 0.940 0.500
O1 O 0.046 0.247 0.799
O2 O 0.129 0.732 0.396
O3 O 0.237 0.237 0.000
O4 O 0.336 0.732 0.604
O5 O 0.449 0.247 0.201
O6 O 0.553 0.750 0.803
O7 O 0.651 0.236 0.415
O8 O 0.820 0.236 0.585
O9 O 0.946 0.750 0.197
```

The 10 most intense peaks (2θ = 15–90°), sorted by position:
Position (°2θ), I_rel
28.0, 100.0
28.4, 97.9
32.4, 19.6
32.8, 42.2
46.6, 16.8
46.8, 65.3
47.5, 17.1
55.3, 12.7
55.4, 28.4
56.1, 28.7